Entry 1:
# HoSc2Si4Ag4
Theoretical powder diffractogram, Cu Kα, 1.54184 Å. Input: DFT lattice parameters and positions (GGA-PBE).

The 10 most intense peaks (5° ≤ 2θ ≤ 70°), by angle:
2theta, I (rel.)
14.2, 42
28.4, 35
28.6, 30
29.2, 83
34.3, 100
36.4, 62
39.2, 34
43.5, 48
44.3, 40
63.8, 29

Cell and atoms:
```
HoSc2Si4Ag4
1.0
-2.0461 3.5011 6.8884
2.0461 -3.5011 6.8884
2.0461 3.5011 -6.8884
Ho Sc Si Ag
1 2 4 4
Direct
0.0000 0.0000 0.0000
0.3786 0.8786 0.5000
0.6214 0.1214 0.5000
0.2205 0.2205 0.0000
0.3282 0.5000 0.8282
0.6718 0.5000 0.1718
0.7795 0.7795 0.0000
0.0308 0.3306 0.7002
0.3695 0.6694 0.7002
0.6305 0.3306 0.2998
0.9692 0.6694 0.2998
```

Entry 2:
# HoAgTeSe
Theoretical powder diffractogram, Cu Kα, 1.54184 Å. Input: DFT lattice parameters and positions (GGA-PBE).

The 10 most intense peaks (5° ≤ 2θ ≤ 70°), by angle:
2theta, I (rel.)
23.8, 42
26.5, 44
27.6, 78
32.8, 100
34.5, 84
35.0, 72
36.1, 53
38.3, 59
44.2, 81
52.9, 33

Cell and atoms:
```
HoAgTeSe
1.0
9.4005 0.0000 0.0000
0.0000 10.2412 0.0000
0.0000 0.0000 4.4515
Ho Ag Te Se
4 4 4 4
Direct
0.0000 0.0000 0.0000
0.0000 0.5000 0.3856
0.5000 0.0000 0.3856
0.5000 0.5000 0.0000
0.2500 0.2500 0.2302
0.2500 0.7500 0.2302
0.7500 0.2500 0.2302
0.7500 0.7500 0.2302
0.0000 0.2937 0.8944
0.0000 0.7063 0.8944
0.5000 0.2063 0.8944
0.5000 0.7937 0.8944
0.1997 0.0000 0.4769
0.3003 0.5000 0.4769
0.6997 0.5000 0.4769
0.8003 0.0000 0.4769
```

Entry 3:
# HoTmAg2Se4
Theoretical powder diffractogram, Cu Kα, 1.54184 Å. Input: DFT lattice parameters and positions (GGA-PBE).

The 10 most intense peaks (5° ≤ 2θ ≤ 70°), by angle:
2theta, I (rel.)
24.6, 44
26.5, 32
28.0, 65
33.9, 55
36.5, 100
37.8, 86
45.7, 54
46.5, 47
54.5, 22
61.4, 27

Cell and atoms:
```
HoTmAg2Se4
1.0
9.5122 0.0000 0.0000
0.0000 9.5218 0.0000
0.0000 0.0000 4.2811
Ho Tm Ag Se
2 2 4 8
Direct
0.0000 0.0000 0.0000
0.5000 0.5000 0.0000
0.0000 0.5000 0.5913
0.5000 0.0000 0.5913
0.2500 0.2500 0.7957
0.2500 0.7500 0.7957
0.7500 0.2500 0.7957
0.7500 0.7500 0.7957
0.0000 0.3001 0.0799
0.0000 0.6999 0.0799
0.2030 0.0000 0.5114
0.2970 0.5000 0.5114
0.5000 0.1999 0.0799
0.5000 0.8001 0.0799
0.7030 0.5000 0.5114
0.7970 0.0000 0.5114
```

Entry 4:
# YHo2Si4Ag4
Theoretical powder diffractogram, Cu Kα, 1.54184 Å. Input: DFT lattice parameters and positions (GGA-PBE).

The 10 most intense peaks (5° ≤ 2θ ≤ 70°), by angle:
2theta, I (rel.)
6.9, 25
23.6, 15
33.1, 32
33.8, 100
43.0, 21
44.4, 18
45.1, 18
55.3, 15
64.0, 12
65.1, 11

Cell and atoms:
```
YHo2Si4Ag4
1.0
-2.0110 2.1045 12.8364
2.0110 -2.1045 12.8364
2.0110 2.1045 -12.8364
Y Ho Si Ag
1 2 4 4
Direct
0.0000 0.0000 0.0000
0.3524 0.8524 0.5000
0.6476 0.1476 0.5000
0.1878 0.6878 0.5000
0.4546 0.4546 0.0000
0.5454 0.5454 0.0000
0.8122 0.3122 0.5000
0.0935 0.5935 0.5000
0.2519 0.2519 0.0000
0.7481 0.7481 0.0000
0.9065 0.4065 0.5000
```